The following is a computed powder diffraction line list of Rb3Cr2PbBr9. It was derived from a PBE-relaxed structure, using Cu Kα (weighted mean of Kα1 and Kα2).

Structure:
Unit cell a=7.7603 b=7.7603 c=9.6929 alpha=90.00 beta=90.00 gamma=120.00
Space group P-3m1 (No. 164)
Asymmetric unit:
Rb1 0.0000 0.0000 0.0000 [1 per cell]
Rb2 0.3333 0.6667 0.6885 [2 per cell]
Cr1 0.3333 0.6667 0.1527 [2 per cell]
Pb1 0.0000 0.0000 0.5000 [1 per cell]
Br1 0.0000 0.5000 0.0000 [3 per cell]
Br2 0.1752 0.3505 0.3122 [6 per cell]

Peak list (12 most intense, 2θ from 10° to 90°, low angle first)
2θ 16.0, d = 5.523 Å, rel. 35
2θ 22.6, d = 3.931 Å, rel. 20
2θ 22.9, d = 3.880 Å, rel. 15
2θ 27.6, d = 3.231 Å, rel. 12
2θ 28.1, d = 3.175 Å, rel. 43
2θ 32.4, d = 2.761 Å, rel. 100
2θ 36.6, d = 2.457 Å, rel. 11
2θ 46.2, d = 1.965 Å, rel. 31
2θ 46.8, d = 1.940 Å, rel. 35
2θ 58.1, d = 1.587 Å, rel. 18
2θ 76.8, d = 1.241 Å, rel. 11
2θ 77.7, d = 1.229 Å, rel. 15